Record 1
Diffraction record for Ca2Dy4Sb3N2. The powder XRD pattern is computed, not measured: it uses a DFT-relaxed cell (PBE, Alexandria) and Cu Kα.

Structural model:
Cell lengths 4.716, 4.716, 24.974 Å; angles 90.00, 90.00, 90.00 degrees
Space group I4/mmm (No. 139)
Inequivalent atoms, fractional coordinates:
Ca: 0.000 0.000 0.193 x4
Dy: 0.000 0.500 0.085 x8
Sb: 0.000 0.000 0.324 x4
Sb: 0.000 0.000 0.500 x2
N: 0.000 0.000 0.097 x4

Peak list (6 most intense, 15 to 90 degrees two-theta, low angle first)
Position (°2θ), I/Imax, index
27.69, 26, 1 1 2
30.39, 21, 1 1 4
34.46, 100, 1 1 6
38.17, 46, 2 0 0
59.22, 17, 2 0 12
66.62, 32, 3 1 6

***

Record 2
Diffraction record for LiDy2Al8. The powder XRD pattern is computed, not measured: it uses a DFT-relaxed cell (PBE, Alexandria) and Cu Kα.

Structural model:
Cell lengths 4.319, 4.319, 11.148 Å; angles 90.00, 90.00, 90.00 degrees
Space group P4/mmm (No. 123)
Inequivalent atoms, fractional coordinates:
Li: 0.000 0.000 0.000 x1
Dy: 0.000 0.000 0.313 x2
Al: 0.000 0.500 0.125 x4
Al: 0.000 0.500 0.500 x2
Al: 0.500 0.500 0.304 x2

Peak list (6 most intense, 15 to 90 degrees two-theta, low angle first)
Position (°2θ), I/Imax, index
15.90, 41, 0 0 2
20.57, 76, 1 0 0
31.77, 47, 1 0 3
33.46, 63, 1 1 2
38.14, 100, 1 1 3
41.84, 49, 2 0 0

***

Record 3
Diffraction record for Zn3Ni3Ge. The powder XRD pattern is computed, not measured: it uses a DFT-relaxed cell (PBE, Alexandria) and Cu Kα.

Structural model:
Cell lengths 8.0642, 8.0642, 5.0492 Å; angles 90.00, 90.00, 120.00 degrees
Space group R-3m (No. 166, hexagonal axes)
Inequivalent atoms, fractional coordinates:
Zn: 0.0000 0.5000 0.0000 x9
Ni: 0.0000 0.5000 0.5000 x9
Ge: 0.0000 0.0000 0.0000 x3

Peak list (6 most intense, 15 to 90 degrees two-theta, low angle first)
Position (°2θ), I/Imax, index
44.27, 100, 2 0 2
44.96, 95, 2 2 0
64.94, 30, 0 4 2
80.99, 15, 0 2 4
82.47, 29, 4 2 2
82.95, 14, 6 0 0

***

Record 4
Diffraction record for SrIn2Sn3. The powder XRD pattern is computed, not measured: it uses a DFT-relaxed cell (PBE, Alexandria) and Cu Kα.

Structural model:
Cell lengths 6.759, 11.118, 9.125 Å; angles 90.00, 91.35, 90.00 degrees
Space group C2/c (No. 15)
Inequivalent atoms, fractional coordinates:
Sr: 0.000 0.131 0.250 x4
In: 0.202 0.139 0.899 x8
Sn: 0.000 0.400 0.750 x4
Sn: 0.203 0.392 0.432 x8

Peak list (6 most intense, 15 to 90 degrees two-theta, low angle first)
Position (°2θ), I/Imax, index
32.20, 51, 0 4 0
32.61, 50, 2 0 -2
32.72, 97, 2 2 1
33.59, 100, 0 2 3
46.49, 31, 2 4 -2
57.73, 26, 2 6 1

***

Record 5
Diffraction record for Ti3Re2Ir. The powder XRD pattern is computed, not measured: it uses a DFT-relaxed cell (PBE, Alexandria) and Cu Kα.

Structural model:
Cell lengths 3.107, 3.107, 9.381 Å; angles 90.00, 90.00, 90.00 degrees
Space group P4/mmm (No. 123)
Inequivalent atoms, fractional coordinates:
Ti: 0.000 0.000 0.000 x1
Ti: 0.000 0.000 0.328 x2
Re: 0.500 0.500 0.168 x2
Ir: 0.500 0.500 0.500 x1

Peak list (6 most intense, 15 to 90 degrees two-theta, low angle first)
Position (°2θ), I/Imax, index
28.55, 23, 0 0 3
28.74, 45, 1 0 0
40.95, 100, 1 0 3
41.09, 50, 1 1 0
50.79, 20, 1 1 3
74.77, 33, 2 1 3

***

Record 6
Diffraction record for Sc2Zn2Pd3. The powder XRD pattern is computed, not measured: it uses a DFT-relaxed cell (PBE, Alexandria) and Cu Kα.

Structural model:
Cell lengths 4.581, 4.612, 6.861 Å; angles 100.61, 98.83, 119.53 degrees
Space group P-1 (No. 2)
Inequivalent atoms, fractional coordinates:
Sc: 0.246 0.421 0.167 x2
Zn: 0.308 0.793 0.603 x2
Pd: 0.040 0.188 0.730 x2
Pd: 0.500 0.000 0.000 x1

Peak list (6 most intense, 15 to 90 degrees two-theta, low angle first)
Position (°2θ), I/Imax, index
23.24, 19, 0 1 0
36.13, 44, -1 1 2
38.91, 63, 1 1 -1
39.61, 34, 1 -2 1
39.84, 52, 2 -1 0
41.43, 100, 1 0 2